Record 1
Starting from a cell relaxed with PBE, the powder diffraction line list of Ag2Br3 was calculated for Cu Kα (λ = 1.5418 Å).
Kinematic intensities with the Lorentz-polarization factor, no thermal factor.

Peak list (6 most intense, 2θ = 5–70°, by intensity)
2theta, d (Å), Rel. int.
37.99, 2.369, 1000
28.98, 3.081, 812
44.68, 2.028, 583
17.24, 5.142, 362
23.58, 3.774, 263
60.06, 1.540, 246

Structure:
```
Ag2Br3
1.0
3.5127 2.0281 6.4145
-3.5127 2.0281 6.4145
0.0000 -4.0561 6.4145
Ag Br
4 6
Direct
0.1603 0.1603 0.1603
0.3397 0.3397 0.3397
0.6603 0.6603 0.6603
0.8397 0.8397 0.8397
0.0722 0.7500 0.4278
0.2500 0.5722 0.9278
0.4278 0.0722 0.7500
0.5722 0.9278 0.2500
0.7500 0.4278 0.0722
0.9278 0.2500 0.5722
```


Record 2
Starting from a cell relaxed with PBE, the powder diffraction line list of Mo2N was calculated for Cu Kα (λ = 1.5418 Å).
Kinematic intensities with the Lorentz-polarization factor, no thermal factor.

Peak list (6 most intense, 2θ = 5–70°, by intensity)
2theta, d (Å), Rel. int.
37.69, 2.387, 1000
43.28, 2.090, 850
35.91, 2.501, 357
64.06, 1.453, 258
61.67, 1.504, 257
47.12, 1.929, 46

Structure:
```
Mo2N
1.0
2.9070 0.0000 0.0000
-1.4535 2.5175 0.0000
0.0000 0.0000 15.0040
Mo N
6 3
Direct
0.0000 0.0000 0.2430
0.0000 0.0000 0.7570
0.3333 0.6667 0.4236
0.3333 0.6667 0.9097
0.6667 0.3333 0.0903
0.6667 0.3333 0.5764
0.0000 0.0000 0.0000
0.3333 0.6667 0.6667
0.6667 0.3333 0.3333
```


Record 3
Starting from a cell relaxed with PBE, the powder diffraction line list of NpCl4 was calculated for Cu Kα (λ = 1.5418 Å).
Kinematic intensities with the Lorentz-polarization factor, no thermal factor.

Peak list (6 most intense, 2θ = 5–70°, by intensity)
2theta, d (Å), Rel. int.
15.49, 5.719, 1000
21.33, 4.165, 763
15.58, 5.688, 350
34.23, 2.620, 348
35.97, 2.497, 281
27.24, 3.273, 241

Structure:
```
NpCl4
1.0
7.0587 0.0000 0.0000
-2.1426 6.7258 0.0000
-2.7348 -3.1592 5.7335
Np Cl
2 8
Direct
0.1277 0.2528 0.3803
0.8723 0.7472 0.6197
0.1860 0.5637 0.7520
0.1857 0.9397 0.1274
0.2489 0.0696 0.6948
0.3753 0.5544 0.3052
0.6247 0.4456 0.6948
0.7511 0.9304 0.3052
0.8143 0.0603 0.8726
0.8140 0.4363 0.2480
```


Record 4
Starting from a cell relaxed with PBE, the powder diffraction line list of YLuZn2 was calculated for Cu Kα (λ = 1.5418 Å).
Kinematic intensities with the Lorentz-polarization factor, no thermal factor.

Peak list (6 most intense, 2θ = 5–70°, by intensity)
2theta, d (Å), Rel. int.
35.83, 2.506, 1000
64.39, 1.447, 350
51.58, 1.772, 174
25.13, 3.544, 110
21.72, 4.092, 92
42.29, 2.137, 53

Structure:
```
YLuZn2
1.0
7.0881 0.0000 0.0000
0.0000 7.0881 0.0000
0.0000 0.0000 7.0881
Y Lu Zn
4 4 8
Direct
0.0000 0.0000 0.0000
0.0000 0.5000 0.5000
0.5000 0.0000 0.5000
0.5000 0.5000 0.0000
0.0000 0.0000 0.5000
0.0000 0.5000 0.0000
0.5000 0.0000 0.0000
0.5000 0.5000 0.5000
0.2500 0.2500 0.2500
0.2500 0.2500 0.7500
0.2500 0.7500 0.2500
0.2500 0.7500 0.7500
0.7500 0.2500 0.2500
0.7500 0.2500 0.7500
0.7500 0.7500 0.2500
0.7500 0.7500 0.7500
```


Record 5
Starting from a cell relaxed with PBE, the powder diffraction line list of HfO2 was calculated for Cu Kα (λ = 1.5418 Å).
Kinematic intensities with the Lorentz-polarization factor, no thermal factor.

Peak list (6 most intense, 2θ = 5–70°, by intensity)
2theta, d (Å), Rel. int.
30.19, 2.961, 1000
50.08, 1.821, 316
60.25, 1.536, 287
35.32, 2.541, 217
50.82, 1.797, 161
58.93, 1.567, 153

Structure:
```
HfO2
1.0
3.5933 0.0000 0.0000
0.0000 3.5933 0.0000
0.0000 0.0000 5.2247
Hf O
2 4
Direct
0.2500 0.7500 0.2500
0.7500 0.2500 0.7500
0.2500 0.2500 0.0547
0.2500 0.2500 0.5547
0.7500 0.7500 0.4453
0.7500 0.7500 0.9453
```


Record 6
Starting from a cell relaxed with PBE, the powder diffraction line list of NaMg6CO8 was calculated for Cu Kα (λ = 1.5418 Å).
Kinematic intensities with the Lorentz-polarization factor, no thermal factor.

Peak list (6 most intense, 2θ = 5–70°, by intensity)
2theta, d (Å), Rel. int.
42.77, 2.114, 1000
61.76, 1.502, 532
42.35, 2.134, 491
62.09, 1.495, 274
36.70, 2.449, 109
38.12, 2.361, 34

Structure:
```
NaMg6CO8
1.0
4.2284 0.0000 0.0000
0.0000 4.2284 0.0000
0.0000 0.0000 8.5374
Na Mg C O
1 6 1 8
Direct
0.0000 0.0000 0.0000
0.0000 0.0000 0.5000
0.0000 0.5000 0.2424
0.0000 0.5000 0.7576
0.5000 0.0000 0.2424
0.5000 0.0000 0.7576
0.5000 0.5000 0.5000
0.5000 0.5000 0.0000
0.0000 0.0000 0.2632
0.0000 0.0000 0.7368
0.0000 0.5000 0.0000
0.0000 0.5000 0.5000
0.5000 0.0000 0.0000
0.5000 0.0000 0.5000
0.5000 0.5000 0.2290
0.5000 0.5000 0.7710
```


Record 7
Starting from a cell relaxed with PBE, the powder diffraction line list of Sm2Ga2Fe15 was calculated for Cu Kα (λ = 1.5418 Å).
Kinematic intensities with the Lorentz-polarization factor, no thermal factor.

Peak list (6 most intense, 2θ = 5–70°, by intensity)
2theta, d (Å), Rel. int.
42.51, 2.127, 1000
42.03, 2.150, 843
43.38, 2.086, 804
42.62, 2.121, 606
37.60, 2.392, 532
36.43, 2.466, 486

Structure:
```
Sm2Ga2Fe15
1.0
4.8512 -4.2583 0.0000
4.8512 4.2583 0.0000
-1.0389 0.0000 6.4250
Sm Ga Fe
2 2 15
Direct
0.0000 0.0000 0.0000
0.6812 0.6812 0.3241
0.4961 0.9992 0.0019
0.9992 0.4961 0.0019
0.0009 0.0009 0.5033
0.0534 0.6342 0.6565
0.0548 0.3422 0.3692
0.1897 0.6869 0.3203
0.2477 0.2477 0.7494
0.3422 0.0548 0.3692
0.3437 0.8440 0.6555
0.3472 0.3472 0.1611
0.3466 0.6319 0.9457
0.4391 0.4391 0.5605
0.6319 0.3466 0.9457
0.6342 0.0534 0.6565
0.6832 0.6832 0.8009
0.6869 0.1897 0.3203
0.8440 0.3437 0.6555
```


Record 8
Starting from a cell relaxed with PBE, the powder diffraction line list of CeU3Al8 was calculated for Cu Kα (λ = 1.5418 Å).
Kinematic intensities with the Lorentz-polarization factor, no thermal factor.

Peak list (6 most intense, 2θ = 5–70°, by intensity)
2theta, d (Å), Rel. int.
32.52, 2.754, 1000
38.33, 2.348, 913
19.74, 4.497, 733
57.99, 1.590, 298
61.90, 1.499, 284
51.10, 1.788, 150

Structure:
```
CeU3Al8
1.0
2.7558 1.5911 8.9786
-2.7558 1.5911 8.9786
0.0000 -3.1821 8.9786
Ce U Al
1 3 8
Direct
0.0000 0.0000 0.0000
0.1288 0.1288 0.1288
0.5020 0.5020 0.5020
0.6224 0.6224 0.6224
0.0632 0.0632 0.5616
0.0632 0.5616 0.0632
0.0643 0.5639 0.5639
0.3129 0.3129 0.3129
0.5616 0.0632 0.0632
0.5639 0.0643 0.5639
0.5639 0.5639 0.0643
0.8133 0.8133 0.8133
```


Record 9
Starting from a cell relaxed with PBE, the powder diffraction line list of CaMg6Fe was calculated for Cu Kα (λ = 1.5418 Å).
Kinematic intensities with the Lorentz-polarization factor, no thermal factor.

Peak list (6 most intense, 2θ = 5–70°, by intensity)
2theta, d (Å), Rel. int.
37.72, 2.385, 1000
35.42, 2.534, 605
32.65, 2.742, 479
37.14, 2.421, 404
16.17, 5.481, 276
50.29, 1.814, 184

Structure:
```
CaMg6Fe
1.0
4.8417 0.0000 0.0000
0.0000 6.1751 0.0000
0.0000 0.0000 11.8960
Ca Mg Fe
2 12 2
Direct
0.0000 0.0000 0.0000
0.0000 0.5000 0.5000
0.0000 0.0000 0.5311
0.0000 0.2382 0.7741
0.0000 0.2618 0.2741
0.0000 0.5000 0.0311
0.0000 0.7382 0.2741
0.0000 0.7618 0.7741
0.5000 0.0000 0.3741
0.5000 0.2415 0.6352
0.5000 0.2585 0.1352
0.5000 0.5000 0.8741
0.5000 0.7415 0.1352
0.5000 0.7585 0.6352
0.5000 0.0000 0.8325
0.5000 0.5000 0.3325
```


Record 10
Starting from a cell relaxed with PBE, the powder diffraction line list of Mg6AlBi was calculated for Cu Kα (λ = 1.5418 Å).
Kinematic intensities with the Lorentz-polarization factor, no thermal factor.

Peak list (6 most intense, 2θ = 5–70°, by intensity)
2theta, d (Å), Rel. int.
36.94, 2.433, 1000
16.20, 5.472, 930
23.31, 3.816, 862
32.74, 2.735, 708
36.55, 2.459, 491
15.99, 5.544, 466

Structure:
```
Mg6AlBi
1.0
5.3237 0.0000 0.0000
0.0000 6.2916 0.0000
0.0000 0.0000 11.0881
Mg Al Bi
12 2 2
Direct
0.0000 0.0000 0.0000
0.0000 0.2447 0.7494
0.0000 0.2553 0.2494
0.0000 0.5000 0.5000
0.0000 0.7447 0.2494
0.0000 0.7553 0.7494
0.5000 0.0000 0.8356
0.5000 0.2464 0.5814
0.5000 0.2536 0.0814
0.5000 0.5000 0.3356
0.5000 0.7464 0.0814
0.5000 0.7536 0.5814
0.0000 0.0000 0.5107
0.0000 0.5000 0.0107
0.5000 0.0000 0.3332
0.5000 0.5000 0.8332
```


Record 11
Starting from a cell relaxed with PBE, the powder diffraction line list of LaInNi5 was calculated for Cu Kα (λ = 1.5418 Å).
Kinematic intensities with the Lorentz-polarization factor, no thermal factor.

Peak list (6 most intense, 2θ = 5–70°, by intensity)
2theta, d (Å), Rel. int.
36.29, 2.476, 1000
34.19, 2.622, 729
40.71, 2.216, 675
45.74, 1.983, 603
42.40, 2.132, 512
37.99, 2.368, 384

Structure:
```
LaInNi5
1.0
4.9515 0.0000 0.0000
-2.4758 4.2881 0.0000
0.0000 0.0000 19.8864
La In Ni
4 4 20
Direct
0.0000 0.0000 0.0000
0.0000 0.0000 0.5000
0.3333 0.6667 0.2500
0.6667 0.3333 0.7500
0.3333 0.6667 0.0850
0.3333 0.6667 0.4150
0.6667 0.3333 0.5850
0.6667 0.3333 0.9150
0.0000 0.0000 0.2500
0.0000 0.0000 0.7500
0.1656 0.3312 0.6478
0.1656 0.3312 0.8522
0.1656 0.8344 0.6478
0.1656 0.8344 0.8522
0.3312 0.1656 0.1478
0.3312 0.1656 0.3522
0.3333 0.6667 0.5475
0.3333 0.6667 0.7500
0.3333 0.6667 0.9525
0.6667 0.3333 0.0475
0.6667 0.3333 0.2500
0.6667 0.3333 0.4525
0.6688 0.8344 0.6478
0.6688 0.8344 0.8522
0.8344 0.1656 0.1478
0.8344 0.1656 0.3522
0.8344 0.6688 0.1478
0.8344 0.6688 0.3522
```


Repeat the third record exactly.
Starting from a cell relaxed with PBE, the powder diffraction line list of NpCl4 was calculated for Cu Kα (λ = 1.5418 Å).
Kinematic intensities with the Lorentz-polarization factor, no thermal factor.

Peak list (6 most intense, 2θ = 5–70°, by intensity)
2theta, d (Å), Rel. int.
15.49, 5.719, 1000
21.33, 4.165, 763
15.58, 5.688, 350
34.23, 2.620, 348
35.97, 2.497, 281
27.24, 3.273, 241

Structure:
```
NpCl4
1.0
7.0587 0.0000 0.0000
-2.1426 6.7258 0.0000
-2.7348 -3.1592 5.7335
Np Cl
2 8
Direct
0.1277 0.2528 0.3803
0.8723 0.7472 0.6197
0.1860 0.5637 0.7520
0.1857 0.9397 0.1274
0.2489 0.0696 0.6948
0.3753 0.5544 0.3052
0.6247 0.4456 0.6948
0.7511 0.9304 0.3052
0.8143 0.0603 0.8726
0.8140 0.4363 0.2480
```


> Number 6 is which compound?

NaMg6CO8